The following is a theoretical X-ray diffraction stick pattern of Tl7In2Pb3. It was derived from the GGA-PBE geometry in Alexandria, using Cu Kα.

Crystal structure
```
data_Tl7In2Pb3
_chemical_formula_sum 'Tl14 In4 Pb6'
_cell_length_a 3.638
_cell_length_b 5.455
_cell_length_c 37.285
_cell_angle_alpha 90.00
_cell_angle_beta 90.00
_cell_angle_gamma 90.00
_space_group_name_H-M_alt 'I m m m'
_space_group_IT_number 71
_space_group_name_Hall '-I 2 2'
loop_
_atom_site_label
_atom_site_fract_x
_atom_site_fract_y
_atom_site_fract_z
_atom_site_occupancy
Tl1 0.000 0.000 0.000 1
Tl2 0.000 0.000 0.232 1
Tl3 0.000 0.500 0.090 1
Tl4 0.000 0.500 0.425 1
In1 0.000 0.000 0.149 1
Pb1 0.000 0.000 0.323 1
Pb2 0.000 0.000 0.500 1
```

Main lines, sorted by position (15 to 90 degrees two-theta):
d/Å	2θ/deg	I/Imax	(hkl)
3.107	28.73	40	0 0 12
2.988	29.91	32	1 1 2
2.879	31.06	78	0 1 11
2.729	32.82	82	0 2 0
2.721	32.91	100	1 1 6
2.539	35.36	43	0 1 13
2.050	44.17	31	0 2 12
1.931	47.06	15	1 2 9
1.819	50.15	19	2 0 0
1.709	53.61	17	1 1 18
1.574	58.67	20	1 3 6
1.513	61.24	22	2 2 0


The following is a theoretical X-ray diffraction stick pattern of TlInPb14. It was derived from the GGA-PBE geometry in Alexandria, using Cu Kα.

Crystal structure
```
data_TlInPb14
_chemical_formula_sum 'Tl1 In1 Pb14'
_cell_length_a 7.114
_cell_length_b 7.114
_cell_length_c 9.896
_cell_angle_alpha 90.00
_cell_angle_beta 90.00
_cell_angle_gamma 90.00
_space_group_name_H-M_alt 'P 4/m m m'
_space_group_IT_number 123
_space_group_name_Hall '-P 4 2'
loop_
_atom_site_label
_atom_site_fract_x
_atom_site_fract_y
_atom_site_fract_z
_atom_site_occupancy
Tl1 0.000 0.000 0.000 1
In1 0.500 0.500 0.000 1
Pb1 0.000 0.000 0.500 1
Pb2 0.000 0.500 0.000 1
Pb3 0.000 0.500 0.500 1
Pb4 0.252 0.252 0.249 1
Pb5 0.500 0.500 0.500 1
```

Main lines, sorted by position (15 to 90 degrees two-theta):
d/Å	2θ/deg	I/Imax	(hkl)
2.888	30.96	100	2 0 2
2.515	35.70	35	2 2 0
2.474	36.31	17	0 0 4
1.778	51.38	12	4 0 0
1.764	51.84	24	2 2 4
1.514	61.21	30	4 2 2
1.496	62.03	14	2 0 6
1.444	64.54	13	4 0 4
1.153	83.93	6	6 0 2
1.145	84.65	13	4 2 6
1.125	86.54	6	6 2 0
1.121	86.90	6	4 4 4


The following is a theoretical X-ray diffraction stick pattern of Tl4In5Pb4. It was derived from the GGA-PBE geometry in Alexandria, using Cu Kα.

Crystal structure
```
data_Tl4In5Pb4
_chemical_formula_sum 'Tl8 In10 Pb8'
_cell_length_a 12.416
_cell_length_b 12.416
_cell_length_c 5.015
_cell_angle_alpha 90.00
_cell_angle_beta 90.00
_cell_angle_gamma 90.00
_space_group_name_H-M_alt 'I 4/m'
_space_group_IT_number 87
_space_group_name_Hall '-I 4'
loop_
_atom_site_label
_atom_site_fract_x
_atom_site_fract_y
_atom_site_fract_z
_atom_site_occupancy
Tl1 0.153 0.772 0.000 1
In1 0.000 0.000 0.000 1
In2 0.039 0.188 0.500 1
Pb1 0.080 0.386 0.000 1
```

Main lines, sorted by position (15 to 90 degrees two-theta):
d/Å	2θ/deg	I/Imax	(hkl)
2.839	31.51	100	3 2 1
2.508	35.81	18	0 0 2
2.435	36.91	32	1 5 0
1.747	52.37	24	1 5 2
1.722	53.20	11	6 4 0
1.504	61.67	15	3 2 3
1.472	63.16	27	8 1 1
1.419	65.79	12	6 4 2
1.133	85.78	12	8 1 3
1.119	87.10	6	9 6 1
1.115	87.51	6	1 5 4
1.095	89.48	6	2 10 2


The following is a theoretical X-ray diffraction stick pattern of Tl4In2Pb. It was derived from the GGA-PBE geometry in Alexandria, using Cu Kα.

Crystal structure
```
data_Tl4In2Pb
_chemical_formula_sum 'Tl16 In8 Pb4'
_cell_length_a 9.573
_cell_length_b 9.573
_cell_length_c 9.526
_cell_angle_alpha 90.00
_cell_angle_beta 90.00
_cell_angle_gamma 90.00
_space_group_name_H-M_alt 'I -4 2 d'
_space_group_IT_number 122
_space_group_name_Hall 'I -4 2bw'
loop_
_atom_site_label
_atom_site_fract_x
_atom_site_fract_y
_atom_site_fract_z
_atom_site_occupancy
Tl1 0.082 0.167 0.299 1
In1 0.130 0.250 0.625 1
Pb1 0.000 0.000 0.000 1
```

Main lines, sorted by position (15 to 90 degrees two-theta):
d/Å	2θ/deg	I/Imax	(hkl)
3.904	22.78	20	2 1 1
3.027	29.51	93	3 0 1
3.014	29.64	54	1 0 3
2.556	35.11	100	3 1 2
2.550	35.19	31	2 1 3
1.953	46.51	22	4 2 2
1.948	46.63	14	2 2 4
1.876	48.53	18	4 3 1
1.552	59.56	29	6 1 1
1.547	59.79	14	1 1 6
1.513	61.25	14	6 2 0
1.473	63.10	18	4 1 5


The following is a theoretical X-ray diffraction stick pattern of Tl7InPb3. It was derived from the GGA-PBE geometry in Alexandria, using Cu Kα.

Crystal structure
```
data_Tl7InPb3
_chemical_formula_sum 'Tl7 In1 Pb3'
_cell_length_a 6.9431
_cell_length_b 6.9431
_cell_length_c 8.4153
_cell_angle_alpha 90.00
_cell_angle_beta 90.00
_cell_angle_gamma 120.00
_space_group_name_H-M_alt 'P 3 m 1'
_space_group_IT_number 156
loop_
_space_group_symop_operation_xyz
'x,y,z'
'-y,x-y,z'
'-x+y,-x,z'
'-y,-x,z'
'-x+y,y,z'
'x,x-y,z'
loop_
_atom_site_label
_atom_site_fract_x
_atom_site_fract_y
_atom_site_fract_z
_atom_site_occupancy
Tl1 0.0000 0.0000 0.0000 1
Tl2 0.0085 0.5042 0.9778 1
Tl3 0.1716 0.3432 0.3338 1
In1 0.6667 0.3333 0.3108 1
Pb1 0.3370 0.1685 0.6537 1
```

Main lines, sorted by position (15 to 90 degrees two-theta):
d/Å	2θ/deg	I/Imax	(hkl)
2.831	31.60	100	0 2 1
2.805	31.90	31	0 0 3
2.446	36.74	66	2 0 2
1.736	52.74	24	2 2 0
1.724	53.13	23	0 2 4
1.480	62.79	14	4 0 1
1.476	62.97	27	2 2 3
1.469	63.33	13	2 0 5
1.416	65.99	12	0 4 2
1.126	86.41	12	2 4 1
1.097	89.29	11	4 2 2
1.091	89.93	10	2 2 6


The following is a theoretical X-ray diffraction stick pattern of Tl12In2Pb. It was derived from the GGA-PBE geometry in Alexandria, using Cu Kα.

Crystal structure
```
data_Tl12In2Pb
_chemical_formula_sum 'Tl24 In4 Pb2'
_cell_length_a 6.690
_cell_length_b 6.690
_cell_length_c 22.666
_cell_angle_alpha 90.00
_cell_angle_beta 90.00
_cell_angle_gamma 90.00
_space_group_name_H-M_alt 'P 4/n b m'
_space_group_IT_number 125
loop_
_space_group_symop_operation_xyz
'x,y,z'
'-x,-y,-z'
'-y+1/2,x,z'
'y+1/2,-x,-z'
'-x+1/2,-y+1/2,z'
'x+1/2,y+1/2,-z'
'y,-x+1/2,z'
'-y,x+1/2,-z'
'x,-y+1/2,-z'
'-x,y+1/2,z'
'-y+1/2,-x+1/2,-z'
'y+1/2,x+1/2,z'
'-x+1/2,y,-z'
'x+1/2,-y,z'
'y,x,-z'
'-y,-x,z'
loop_
_atom_site_label
_atom_site_fract_x
_atom_site_fract_y
_atom_site_fract_z
_atom_site_occupancy
Tl1 0.002 0.502 0.102 1
Tl2 0.079 0.579 0.436 1
Tl3 0.250 0.250 0.202 1
Tl4 0.250 0.250 0.338 1
In1 0.250 0.750 0.236 1
Pb1 0.250 0.750 0.000 1
```

Main lines, sorted by position (15 to 90 degrees two-theta):
d/Å	2θ/deg	I/Imax	(hkl)
4.366	20.34	69	1 1 2
3.208	27.81	100	2 0 2
2.881	31.05	70	2 0 4
2.782	32.18	40	2 1 3
2.692	33.29	74	2 0 5
2.672	33.54	39	1 1 7
2.646	33.88	35	2 1 4
2.518	35.65	63	0 0 9
2.504	35.86	91	2 0 6
2.365	38.04	100	2 2 0
1.724	53.12	51	2 2 9
1.696	54.09	48	3 1 8


The following is a theoretical X-ray diffraction stick pattern of Tl4InPb7. It was derived from the GGA-PBE geometry in Alexandria, using Cu Kα.

Crystal structure
```
data_Tl4InPb7
_chemical_formula_sum 'Tl4 In1 Pb7'
_cell_length_a 3.4874
_cell_length_b 3.4874
_cell_length_c 35.4637
_cell_angle_alpha 90.00
_cell_angle_beta 90.00
_cell_angle_gamma 120.00
_space_group_name_H-M_alt 'P -3 m 1'
_space_group_IT_number 164
_space_group_name_Hall '-P 3 2"'
loop_
_atom_site_label
_atom_site_fract_x
_atom_site_fract_y
_atom_site_fract_z
_atom_site_occupancy
Tl1 0.3333 0.6667 0.1653 1
Tl2 0.3333 0.6667 0.4160 1
In1 0.0000 0.0000 0.0000 1
Pb1 0.0000 0.0000 0.2496 1
Pb2 0.0000 0.0000 0.5000 1
Pb3 0.3333 0.6667 0.6674 1
Pb4 0.3333 0.6667 0.9203 1
```

Main lines, sorted by position (15 to 90 degrees two-theta):
d/Å	2θ/deg	I/Imax	(hkl)
2.955	30.24	36	0 0 12
2.859	31.29	100	1 0 4
2.496	35.98	69	0 1 8
1.787	51.12	25	1 0 16
1.744	52.48	24	1 1 0
1.529	60.55	15	0 1 20
1.502	61.77	29	1 1 12
1.489	62.38	14	0 2 4
1.429	65.28	13	2 0 8
1.132	85.83	13	2 1 4
1.127	86.29	12	1 1 24
1.105	88.43	12	1 2 8


The following is a theoretical X-ray diffraction stick pattern of Tl6In3Pb. It was derived from the GGA-PBE geometry in Alexandria, using Cu Kα.

Crystal structure
```
data_Tl6In3Pb
_chemical_formula_sum 'Tl12 In6 Pb2'
_cell_length_a 5.671
_cell_length_b 9.317
_cell_length_c 11.901
_cell_angle_alpha 72.05
_cell_angle_beta 89.91
_cell_angle_gamma 89.90
_space_group_name_H-M_alt 'P -1'
_space_group_IT_number 2
loop_
_space_group_symop_operation_xyz
'x,y,z'
'-x,-y,-z'
loop_
_atom_site_label
_atom_site_fract_x
_atom_site_fract_y
_atom_site_fract_z
_atom_site_occupancy
Tl1 0.249 0.150 0.280 1
Tl2 0.249 0.349 0.681 1
Tl3 0.249 0.732 0.490 1
Tl4 0.250 0.537 0.086 1
Tl5 0.250 0.840 0.189 1
Tl6 0.250 0.935 0.889 1
In1 0.250 0.244 0.980 1
In2 0.251 0.440 0.383 1
In3 0.251 0.638 0.786 1
Pb1 0.251 0.040 0.584 1
```

Main lines, sorted by position (15 to 90 degrees two-theta):
d/Å	2θ/deg	I/Imax	(hkl)
2.836	31.55	58	2 0 0
2.811	31.84	44	0 2 4
2.748	32.59	100	1 1 -3
2.721	32.91	95	1 3 1
2.518	35.65	19	1 2 4
1.998	45.39	17	2 2 4
1.994	45.48	16	-2 2 4
1.876	48.51	17	0 4 -2
1.620	56.85	21	3 1 -3
1.616	57.00	22	3 3 1
1.613	57.10	10	-3 3 1
1.566	58.99	12	2 4 -2


Copy entry 4 word for word.
The following is a theoretical X-ray diffraction stick pattern of Tl4In2Pb. It was derived from the GGA-PBE geometry in Alexandria, using Cu Kα.

Crystal structure
```
data_Tl4In2Pb
_chemical_formula_sum 'Tl16 In8 Pb4'
_cell_length_a 9.573
_cell_length_b 9.573
_cell_length_c 9.526
_cell_angle_alpha 90.00
_cell_angle_beta 90.00
_cell_angle_gamma 90.00
_space_group_name_H-M_alt 'I -4 2 d'
_space_group_IT_number 122
_space_group_name_Hall 'I -4 2bw'
loop_
_atom_site_label
_atom_site_fract_x
_atom_site_fract_y
_atom_site_fract_z
_atom_site_occupancy
Tl1 0.082 0.167 0.299 1
In1 0.130 0.250 0.625 1
Pb1 0.000 0.000 0.000 1
```

Main lines, sorted by position (15 to 90 degrees two-theta):
d/Å	2θ/deg	I/Imax	(hkl)
3.904	22.78	20	2 1 1
3.027	29.51	93	3 0 1
3.014	29.64	54	1 0 3
2.556	35.11	100	3 1 2
2.550	35.19	31	2 1 3
1.953	46.51	22	4 2 2
1.948	46.63	14	2 2 4
1.876	48.53	18	4 3 1
1.552	59.56	29	6 1 1
1.547	59.79	14	1 1 6
1.513	61.25	14	6 2 0
1.473	63.10	18	4 1 5